1.
For LaTaSe2, a structure optimized by DFT (GGA-PBE) gives the simulated powder diffractogram in this record (copper Kα).

Cell and atoms:
Cell lengths 8.1610, 3.6774, 6.8116 Å; angles 90.00, 108.30, 90.00 degrees
Positions (direct):
La  0.0000  0.0000  0.0000
La  0.5000  0.5000  0.0000
Ta  0.2471  0.5000  0.4263
Ta  0.7471  0.0000  0.4263
Se  0.2223  0.0000  0.7024
Se  0.4157  0.0000  0.3041
Se  0.7223  0.5000  0.7024
Se  0.9157  0.5000  0.3041

Largest 6 diffraction maxima, in order of rising 2θ, 2θ = 10–90°:
two_theta	I/Imax
22.8	42
28.5	44
30.4	69
31.9	60
36.1	100
41.4	65



2.
For LaTb2Se4, a structure optimized by DFT (GGA-PBE) gives the simulated powder diffractogram in this record (copper Kα).

Cell and atoms:
Cell lengths 7.0749, 7.0749, 13.9332 Å; angles 90.00, 90.00, 146.37 degrees
Positions (direct):
La  0.1215  0.8785  0.7500
La  0.8785  0.1215  0.2500
Tb  0.3692  0.6308  0.5660
Tb  0.3692  0.6308  0.9340
Tb  0.6308  0.3692  0.0660
Tb  0.6308  0.3692  0.4340
Se  0.0000  0.0000  0.0000
Se  0.0000  0.0000  0.5000
Se  0.2727  0.7273  0.1204
Se  0.2727  0.7273  0.3796
Se  0.4583  0.5417  0.7500
Se  0.5417  0.4583  0.2500
Se  0.7273  0.2727  0.6204
Se  0.7273  0.2727  0.8796

Largest 6 diffraction maxima, in order of rising 2θ, 2θ = 10–90°:
two_theta	I/Imax
23.2	94
28.8	41
30.2	87
32.2	100
39.7	61
44.6	74